Entry 1:
Structure and calculated powder XRD pattern of TbY2HoTm2 (DFT lattice parameters and positions (PBE); Cu Kα (λ = 1.5418 Å)).

Top 6 peaks for 2θ = 10–80°, most intense first:
| h k l | two_theta | I (rel.) |
| --- | --- | --- |
| 0 3 1 | 30.59 | 100 |
| 2 1 1 | 37.01 | 67 |
| 2 4 0 | 34.29 | 54 |
| 2 2 0 | 28.13 | 47 |
| 0 6 0 | 33.61 | 34 |
| 2 7 1 | 54.85 | 33 |

Cell and atoms:
Unit cell a=6.912 b=16.001 c=3.494 alpha=90.00 beta=90.00 gamma=90.00
Space group Pnnm (No. 58)
Inequivalent atoms, fractional coordinates:
Tb 0.000 0.000 0.000 (multiplicity 2)
Y 0.250 0.164 0.500 (multiplicity 4)
Ho 0.000 0.500 0.500 (multiplicity 2)
Tm 0.250 0.351 0.000 (multiplicity 4)


Entry 2:
Structure and calculated powder XRD pattern of Pm4ErSi2 (DFT lattice parameters and positions (PBE); Cu Kα (λ = 1.5418 Å)).

Top 6 peaks for 2θ = 10–80°, most intense first:
| h k l | two_theta | I (rel.) |
| --- | --- | --- |
| 2 1 1 | 31.59 | 100 |
| 3 1 0 | 27.35 | 74 |
| 5 0 1 | 51.08 | 66 |
| 2 2 1 | 35.09 | 50 |
| 1 1 1 | 27.70 | 35 |
| 4 1 0 | 35.91 | 34 |

Cell and atoms:
Unit cell a=10.311 b=10.311 c=3.589 alpha=90.00 beta=90.00 gamma=90.00
Space group P4_2/mnm (No. 136)
Inequivalent atoms, fractional coordinates:
Pm 0.099 0.313 0.000 (multiplicity 8)
Er 0.000 0.000 0.500 (multiplicity 2)
Si 0.160 0.840 0.000 (multiplicity 4)